Starting from a cell relaxed with GGA+U, the PXRD pattern of Al2CoO4 was computed for a wavelength of 1.5418 Å.
Neutral-atom scattering factors, no anomalous dispersion.

Structure:
abc: 5.7836 5.7836 14.1966
angles: 90.00 90.00 120.00
Space group P3m1 (No. 156)
Unique sites:
Al: 0.0000 0.0000 0.0000 (multiplicity 1)
Al: 0.0000 0.0000 0.3772 (multiplicity 1)
Al: 0.0057 0.5028 0.8769 (multiplicity 3)
Al: 0.1659 0.3317 0.5435 (multiplicity 3)
Al: 0.3333 0.6667 0.7096 (multiplicity 1)
Al: 0.3378 0.1689 0.2121 (multiplicity 3)
Co: 0.0000 0.0000 0.7521 (multiplicity 1)
Co: 0.3333 0.6667 0.0888 (multiplicity 1)
Co: 0.3333 0.6667 0.3328 (multiplicity 1)
Co: 0.6667 0.3333 0.0464 (multiplicity 1)
Co: 0.6667 0.3333 0.4203 (multiplicity 1)
Co: 0.6667 0.3333 0.6705 (multiplicity 1)
O: 0.0000 0.0000 0.1293 (multiplicity 1)
O: 0.0000 0.0000 0.6131 (multiplicity 1)
O: 0.0390 0.5195 0.6225 (multiplicity 3)
O: 0.1446 0.2892 0.2886 (multiplicity 3)
O: 0.1860 0.3719 0.7976 (multiplicity 3)
O: 0.2955 0.1477 0.4658 (multiplicity 3)
O: 0.3333 0.6667 0.4743 (multiplicity 1)
O: 0.3333 0.6667 0.9471 (multiplicity 1)
O: 0.3391 0.1695 0.9517 (multiplicity 3)
O: 0.5128 0.0255 0.1412 (multiplicity 3)
O: 0.6667 0.3333 0.2826 (multiplicity 1)
O: 0.6667 0.3333 0.8134 (multiplicity 1)

The 10 most intense peaks (2θ from 10° to 90°), by angle:
30.90°, d = 2.893 Å, rel. 59, (1 1 0); 36.40°, d = 2.468 Å, rel. 100, (1 0 5); 44.26°, d = 2.046 Å, rel. 12, (2 0 4); 54.93°, d = 1.671 Å, rel. 13, (1 0 8); 58.59°, d = 1.575 Å, rel. 28, (2 1 5); 58.63°, d = 1.574 Å, rel. 13, (3 0 3); 64.34°, d = 1.448 Å, rel. 25, (0 2 8); 64.44°, d = 1.446 Å, rel. 25, (2 2 0); 76.32°, d = 1.248 Å, rel. 8, (1 3 5); 89.67°, d = 1.093 Å, rel. 8, (1 3 8)